[1]
Simulated powder XRD pattern
Compound: Li4CoOF4
Radiation: Cu Kα (λ = 1.5418 Å)
Structure: a PBE+U-relaxed structure
No peak broadening, texture or thermal motion is included.

Cell and atoms:
```
data_Li4CoOF4
_symmetry_space_group_name_H-M 'C 1 2/m 1'
_symmetry_Int_Tables_number 12
_cell_length_a 21.252
_cell_length_b 2.920
_cell_length_c 5.838
_cell_angle_alpha 90.00
_cell_angle_beta 97.89
_cell_angle_gamma 90.00
loop_
_symmetry_equiv_pos_as_xyz
'x,y,z'
'-x,-y,-z'
'-x,y,-z'
'x,-y,z'
'x+1/2,y+1/2,z'
'-x+1/2,-y+1/2,-z'
'-x+1/2,y+1/2,-z'
'x+1/2,-y+1/2,z'
loop_
_atom_site_label
_atom_site_type_symbol
_atom_site_fract_x
_atom_site_fract_y
_atom_site_fract_z
Li1 Li 0.103 0.000 0.052
Li2 Li 0.103 0.000 0.552
Li3 Li 0.202 0.500 0.351
Li4 Li 0.202 0.500 0.851
Co1 Co 0.000 0.500 0.249
O1 O 0.000 0.000 0.000
O2 O 0.000 0.000 0.500
F1 F 0.106 0.500 0.303
F2 F 0.106 0.500 0.803
F3 F 0.202 0.000 0.101
F4 F 0.202 0.000 0.601
```

Most intense lines, 5° ≤ 2θ ≤ 70°, by intensity:
2θ (°), I_rel, (hkl)
8.4, 100, 2 0 0
43.9, 44, 1 1 -2
30.9, 28, 1 1 0
16.8, 25, 4 0 0
63.1, 24, 9 1 2
43.0, 23, 10 0 0
33.2, 21, 3 1 0
43.2, 15, 7 1 0
63.8, 12, 0 2 0
25.4, 11, 6 0 0
50.0, 8, 9 1 0
34.1, 7, 8 0 0


[2]
Simulated powder XRD pattern
Compound: Li3Co8O4F12
Radiation: Cu Kα (λ = 1.5418 Å)
Structure: a PBE+U-relaxed structure
No peak broadening, texture or thermal motion is included.

Cell and atoms:
```
data_Li3Co8O4F12
_symmetry_space_group_name_H-M 'C 1 m 1'
_symmetry_Int_Tables_number 8
_cell_length_a 10.622
_cell_length_b 6.082
_cell_length_c 10.345
_cell_angle_alpha 90.00
_cell_angle_beta 110.36
_cell_angle_gamma 90.00
loop_
_symmetry_equiv_pos_as_xyz
'x,y,z'
'x,-y,z'
'x+1/2,y+1/2,z'
'x+1/2,-y+1/2,z'
loop_
_atom_site_label
_atom_site_type_symbol
_atom_site_fract_x
_atom_site_fract_y
_atom_site_fract_z
Li1 Li 0.000 0.000 0.000
Li2 Li 0.122 0.500 0.869
Li3 Li 0.306 0.500 0.429
Co1 Co 0.049 0.236 0.424
Co2 Co 0.050 0.500 0.170
Co3 Co 0.058 0.000 0.699
Co4 Co 0.310 0.243 0.694
Co5 Co 0.315 0.249 0.189
O1 O 0.163 0.000 0.577
O2 O 0.424 0.500 0.313
O3 O 0.432 0.500 0.784
O4 O 0.449 0.000 0.304
F1 F 0.177 0.246 0.798
F2 F 0.184 0.276 0.309
F3 F 0.186 0.500 0.066
F4 F 0.187 0.500 0.551
F5 F 0.194 0.000 0.085
F6 F 0.430 0.273 0.561
F7 F 0.431 0.000 0.795
F8 F 0.431 0.251 0.064
```

Most intense lines, 5° ≤ 2θ ≤ 70°, by intensity:
2θ (°), I_rel, (hkl)
42.4, 100, 2 2 2
18.3, 55, 0 0 2
42.0, 51, 4 0 -4
9.1, 44, 0 0 1
17.9, 36, 1 1 -1
20.6, 31, 2 0 -2
60.5, 31, 6 2 -2
61.9, 26, 2 2 -6
29.8, 25, 2 0 2
34.6, 25, 2 2 0
36.1, 17, 2 2 -2
60.9, 15, 0 4 0


[3]
Simulated powder XRD pattern
Compound: Li2CoOF3
Radiation: Cu Kα (λ = 1.5418 Å)
Structure: a PBE+U-relaxed structure
No peak broadening, texture or thermal motion is included.

Cell and atoms:
```
data_Li2CoOF3
_symmetry_space_group_name_H-M 'P 41'
_symmetry_Int_Tables_number 76
_cell_length_a 5.895
_cell_length_b 5.895
_cell_length_c 8.589
_cell_angle_alpha 90.00
_cell_angle_beta 90.00
_cell_angle_gamma 90.00
loop_
_symmetry_equiv_pos_as_xyz
'x,y,z'
'-y,x,z+1/4'
'-x,-y,z+1/2'
'y,-x,z+3/4'
loop_
_atom_site_label
_atom_site_type_symbol
_atom_site_fract_x
_atom_site_fract_y
_atom_site_fract_z
Li1 Li 0.000 0.241 0.000
Li2 Li 0.243 0.742 0.125
Co1 Co 0.260 0.517 0.761
O1 O 0.273 0.472 0.982
F1 F 0.008 0.748 0.745
F2 F 0.030 0.267 0.750
F3 F 0.242 0.511 0.510
```

Most intense lines, 5° ≤ 2θ ≤ 70°, by intensity:
2θ (°), I_rel, (hkl)
18.3, 100, 1 0 1
23.7, 71, 1 1 1
43.4, 63, 2 2 0
15.0, 55, 1 0 0
62.1, 40, 2 2 4
42.1, 36, 0 0 4
35.6, 33, 2 1 1
25.7, 29, 1 0 2
40.1, 20, 1 2 2
34.8, 19, 1 0 3
63.1, 18, 4 0 0
57.4, 15, 3 2 1